Diffraction record for Ho4HgGeC. The powder diffraction line list is simulated, not measured: it uses DFT lattice parameters and positions (GGA-PBE) and Cu Kα (λ = 1.5418 Å).

```
data_Ho4HgGeC
_space_group_name_H-M_alt 'C m c m'
_space_group_IT_number 63
_space_group_name_Hall '-C 2c 2'
_cell_length_a 6.8363
_cell_length_b 14.5691
_cell_length_c 6.8191
_cell_angle_alpha 90.00
_cell_angle_beta 90.00
_cell_angle_gamma 90.00
loop_
_atom_site_label
_atom_site_fract_x
_atom_site_fract_y
_atom_site_fract_z
Ho1 0.0000 0.0797 0.2500
Ho2 0.0000 0.4173 0.2500
Ho3 0.2500 0.2500 0.0000
Hg1 0.0000 0.3840 0.7500
Ge1 0.0000 0.1241 0.7500
C1 0.0000 0.2482 0.2500
```

Most intense lines, 10 to 80 degrees two-theta, low angle first:
7.285 Å, 12.15 deg, intensity 11, (0 2 0); 3.420 Å, 26.06 deg, intensity 11, (2 0 0); 3.091 Å, 28.88 deg, intensity 71, (2 2 0); 2.491 Å, 36.05 deg, intensity 100, (2 4 0); 2.428 Å, 37.02 deg, intensity 19, (0 6 0); 2.414 Å, 37.25 deg, intensity 62, (2 0 2); 1.735 Å, 52.77 deg, intensity 12, (3 5 1); 1.711 Å, 53.56 deg, intensity 37, (4 0 0); 1.705 Å, 53.77 deg, intensity 11, (0 0 4); 1.495 Å, 62.07 deg, intensity 8, (4 2 2); 1.493 Å, 62.17 deg, intensity 9, (2 2 4); 1.408 Å, 66.39 deg, intensity 31, (4 4 2)